[1]
Calculated XRD peak list
Compound: Nd2AuSe2O2
Radiation: copper Kα
Structure: a DFT-relaxed cell (GGA-PBE, Alexandria)
No peak broadening, texture or thermal motion is included.

Main lines, sorted by position (2θ from 10° to 80°):
(0 0 1), 2θ 10.9, I = 100
(1 0 0), 2θ 21.5, I = 34
(1 0 1), 2θ 24.2, I = 60
(1 0 2), 2θ 30.8, I = 53
(1 1 0), 2θ 37.7, I = 99
(0 1 3), 2θ 39.7, I = 96
(2 0 3), 2θ 56.0, I = 35
(1 2 3), 2θ 69.5, I = 37

Atomic structure:
```
data_Nd2AuSe2O2
_cell_length_a 4.7673
_cell_length_b 4.7673
_cell_length_c 8.1460
_cell_angle_alpha 90.00
_cell_angle_beta 90.00
_cell_angle_gamma 120.00
_symmetry_space_group_name_H-M 'P -3 m 1'
_symmetry_Int_Tables_number 164
_symmetry_space_group_name_Hall '-P 3 2"'
loop_
_atom_site_label
_atom_site_type_symbol
_atom_site_fract_x
_atom_site_fract_y
_atom_site_fract_z
_atom_site_occupancy
Nd1 Nd 0.3333 0.6667 0.3239 1
Au1 Au 0.0000 0.0000 0.5000 1
Se1 Se 0.0000 0.0000 0.1618 1
O1 O 0.3333 0.6667 0.5940 1
```

=====

[2]
Calculated XRD peak list
Compound: Nd3Pb4Au3
Radiation: copper Kα
Structure: a DFT-relaxed cell (GGA-PBE, Alexandria)
No peak broadening, texture or thermal motion is included.

Main lines, sorted by position (2θ from 10° to 80°):
(2 1 1), 2θ 21.1, I = 14
(3 2 1), 2θ 32.5, I = 100
(4 2 0), 2θ 39.1, I = 29
(4 2 2), 2θ 43.0, I = 15
(5 1 0), 2θ 44.9, I = 17
(5 2 1), 2θ 48.4, I = 15
(6 3 1), 2θ 61.0, I = 12
(4 4 4), 2θ 62.5, I = 9

Atomic structure:
```
data_Nd3Pb4Au3
_cell_length_a 10.298
_cell_length_b 10.298
_cell_length_c 10.298
_cell_angle_alpha 90.00
_cell_angle_beta 90.00
_cell_angle_gamma 90.00
_symmetry_space_group_name_H-M 'I -4 3 d'
_symmetry_Int_Tables_number 220
_symmetry_space_group_name_Hall 'I -4bd 2c 3'
loop_
_atom_site_label
_atom_site_type_symbol
_atom_site_fract_x
_atom_site_fract_y
_atom_site_fract_z
_atom_site_occupancy
Nd1 Nd 0.000 0.250 0.875 1
Pb1 Pb 0.092 0.408 0.592 1
Au1 Au 0.000 0.250 0.375 1
```

=====

[3]
Calculated XRD peak list
Compound: Nd4PdAu
Radiation: copper Kα
Structure: a DFT-relaxed cell (GGA-PBE, Alexandria)
No peak broadening, texture or thermal motion is included.

Main lines, sorted by position (2θ from 10° to 80°):
(2 1 1), 2θ 30.8, I = 100
(1 1 2), 2θ 32.3, I = 46
(2 2 0), 2θ 35.2, I = 25
(2 0 2), 2θ 36.9, I = 72
(3 1 0), 2θ 39.5, I = 47
(2 1 3), 2θ 50.1, I = 26
(4 1 1), 2θ 54.2, I = 27
(3 3 2), 2θ 61.3, I = 30

Atomic structure:
```
data_Nd4PdAu
_cell_length_a 7.216
_cell_length_b 7.216
_cell_length_c 6.607
_cell_angle_alpha 90.00
_cell_angle_beta 90.00
_cell_angle_gamma 90.00
_symmetry_space_group_name_H-M 'P 4/m c c'
_symmetry_Int_Tables_number 124
_symmetry_space_group_name_Hall '-P 4 2c'
loop_
_atom_site_label
_atom_site_type_symbol
_atom_site_fract_x
_atom_site_fract_y
_atom_site_fract_z
_atom_site_occupancy
Nd1 Nd 0.170 0.322 0.000 1
Pd1 Pd 0.000 0.000 0.250 1
Au1 Au 0.500 0.500 0.250 1
```

=====

[4]
Calculated XRD peak list
Compound: Nd5Pd5Au2
Radiation: copper Kα
Structure: a DFT-relaxed cell (GGA-PBE, Alexandria)
No peak broadening, texture or thermal motion is included.

Main lines, sorted by position (2θ from 10° to 80°):
(2 0 2), 2θ 31.9, I = 41
(3 1 -3), 2θ 32.3, I = 100
(1 1 2), 2θ 33.6, I = 51
(1 1 -3), 2θ 34.5, I = 39
(5 1 -3), 2θ 36.5, I = 18
(6 0 -4), 2θ 36.8, I = 24
(5 1 -1), 2θ 37.7, I = 92
(0 2 0), 2θ 43.1, I = 45

Atomic structure:
```
data_Nd5Pd5Au2
_cell_length_a 15.846
_cell_length_b 4.199
_cell_length_c 11.121
_cell_angle_alpha 90.00
_cell_angle_beta 128.98
_cell_angle_gamma 90.00
_symmetry_space_group_name_H-M 'C 1 2/m 1'
_symmetry_Int_Tables_number 12
_symmetry_space_group_name_Hall '-C 2y'
loop_
_atom_site_label
_atom_site_type_symbol
_atom_site_fract_x
_atom_site_fract_y
_atom_site_fract_z
_atom_site_occupancy
Nd1 Nd 0.000 0.000 0.000 1
Nd2 Nd 0.097 0.000 0.418 1
Nd3 Nd 0.205 0.000 0.830 1
Pd1 Pd 0.000 0.500 0.500 1
Pd2 Pd 0.077 0.500 0.848 1
Pd3 Pd 0.223 0.500 0.660 1
Au1 Au 0.138 0.500 0.258 1
```

=====

[5]
Calculated XRD peak list
Compound: Nd4PdAu3
Radiation: copper Kα
Structure: a DFT-relaxed cell (GGA-PBE, Alexandria)
No peak broadening, texture or thermal motion is included.

Main lines, sorted by position (2θ from 10° to 80°):
(1 1 1), 2θ 30.6, I = 100
(0 0 4), 2θ 32.0, I = 30
(0 1 4), 2θ 37.3, I = 27
(0 2 0), 2θ 37.8, I = 36
(1 1 3), 2θ 38.3, I = 86
(2 0 0), 2θ 46.4, I = 20
(0 2 4), 2θ 50.3, I = 17
(2 2 0), 2θ 61.3, I = 18

Atomic structure:
```
data_Nd4PdAu3
_cell_length_a 3.917
_cell_length_b 4.764
_cell_length_c 11.174
_cell_angle_alpha 90.00
_cell_angle_beta 90.00
_cell_angle_gamma 90.00
_symmetry_space_group_name_H-M 'P m m 2'
_symmetry_Int_Tables_number 25
_symmetry_space_group_name_Hall 'P 2 -2'
loop_
_atom_site_label
_atom_site_type_symbol
_atom_site_fract_x
_atom_site_fract_y
_atom_site_fract_z
_atom_site_occupancy
Nd1 Nd 0.000 0.000 0.000 1
Nd2 Nd 0.000 0.500 0.268 1
Nd3 Nd 0.500 0.000 0.489 1
Nd4 Nd 0.500 0.500 0.771 1
Pd1 Pd 0.500 0.000 0.217 1
Au1 Au 0.000 0.000 0.719 1
Au2 Au 0.000 0.500 0.545 1
Au3 Au 0.500 0.500 0.049 1
```

=====

[6]
Calculated XRD peak list
Compound: Nd4Pd5Au2
Radiation: copper Kα
Structure: a DFT-relaxed cell (GGA-PBE, Alexandria)
No peak broadening, texture or thermal motion is included.

Main lines, sorted by position (2θ from 10° to 80°):
(1 1 -2), 2θ 32.9, I = 86
(2 1 0), 2θ 33.1, I = 85
(1 1 2), 2θ 33.3, I = 100
(3 0 -2), 2θ 41.8, I = 31
(0 0 4), 2θ 42.2, I = 31
(3 0 2), 2θ 42.7, I = 29
(0 2 0), 2θ 45.9, I = 42
(0 2 4), 2θ 64.1, I = 20

Atomic structure:
```
data_Nd4Pd5Au2
_cell_length_a 7.412
_cell_length_b 3.953
_cell_length_c 8.572
_cell_angle_alpha 90.00
_cell_angle_beta 91.43
_cell_angle_gamma 90.00
_symmetry_space_group_name_H-M 'P 1 2/m 1'
_symmetry_Int_Tables_number 10
_symmetry_space_group_name_Hall '-P 2y'
loop_
_atom_site_label
_atom_site_type_symbol
_atom_site_fract_x
_atom_site_fract_y
_atom_site_fract_z
_atom_site_occupancy
Nd1 Nd 0.243 0.000 0.118 1
Nd2 Nd 0.256 0.000 0.617 1
Pd1 Pd 0.000 0.500 0.500 1
Pd2 Pd 0.032 0.500 0.830 1
Pd3 Pd 0.353 0.500 0.378 1
Au1 Au 0.404 0.500 0.861 1
```

=====

[7]
Calculated XRD peak list
Compound: Nd2Pd3Au
Radiation: copper Kα
Structure: a DFT-relaxed cell (GGA-PBE, Alexandria)
No peak broadening, texture or thermal motion is included.

Main lines, sorted by position (2θ from 10° to 80°):
(2 2 2), 2θ 32.9, I = 100
(2 0 4), 2θ 33.7, I = 53
(0 4 0), 2θ 37.8, I = 38
(0 2 6), 2θ 39.9, I = 65
(4 0 0), 2θ 49.5, I = 18
(2 4 4), 2θ 51.5, I = 32
(4 4 0), 2θ 63.9, I = 17
(4 2 6), 2θ 65.3, I = 30

Atomic structure:
```
data_Nd2Pd3Au
_cell_length_a 7.372
_cell_length_b 9.514
_cell_length_c 15.409
_cell_angle_alpha 90.00
_cell_angle_beta 90.00
_cell_angle_gamma 90.00
_symmetry_space_group_name_H-M 'F m m m'
_symmetry_Int_Tables_number 69
_symmetry_space_group_name_Hall '-F 2 2'
loop_
_atom_site_label
_atom_site_type_symbol
_atom_site_fract_x
_atom_site_fract_y
_atom_site_fract_z
_atom_site_occupancy
Nd1 Nd 0.249 0.000 0.000 1
Nd2 Nd 0.250 0.250 0.250 1
Pd1 Pd 0.000 0.000 0.159 1
Pd2 Pd 0.000 0.249 0.414 1
Au1 Au 0.000 0.000 0.332 1
```

=====

[8]
Calculated XRD peak list
Compound: NdPd2Au10
Radiation: copper Kα
Structure: a DFT-relaxed cell (GGA-PBE, Alexandria)
No peak broadening, texture or thermal motion is included.

Main lines, sorted by position (2θ from 10° to 80°):
(2 0 0), 2θ 31.9, I = 24
(1 3 3), 2θ 32.6, I = 45
(2 2 2), 2θ 37.3, I = 100
(0 4 4), 2θ 38.1, I = 55
(1 5 1), 2θ 38.5, I = 50
(2 0 4), 2θ 41.7, I = 46
(2 4 0), 2θ 42.5, I = 37
(2 6 6), 2θ 68.3, I = 30

Atomic structure:
```
data_NdPd2Au10
_cell_length_a 5.605
_cell_length_b 13.098
_cell_length_c 13.640
_cell_angle_alpha 90.00
_cell_angle_beta 90.00
_cell_angle_gamma 90.00
_symmetry_space_group_name_H-M 'F m m m'
_symmetry_Int_Tables_number 69
_symmetry_space_group_name_Hall '-F 2 2'
loop_
_atom_site_label
_atom_site_type_symbol
_atom_site_fract_x
_atom_site_fract_y
_atom_site_fract_z
_atom_site_occupancy
Nd1 Nd 0.000 0.000 0.000 1
Pd1 Pd 0.250 0.250 0.000 1
Au1 Au 0.000 0.108 0.394 1
Au2 Au 0.000 0.176 0.167 1
Au3 Au 0.250 0.000 0.250 1
```

=====

[9]
Calculated XRD peak list
Compound: NdPd2Au5
Radiation: copper Kα
Structure: a DFT-relaxed cell (GGA-PBE, Alexandria)
No peak broadening, texture or thermal motion is included.

Main lines, sorted by position (2θ from 10° to 80°):
(0 1 1), 2θ 14.3, I = 19
(1 2 1), 2θ 32.0, I = 54
(1 0 3), 2θ 36.0, I = 100
(1 3 0), 2θ 39.3, I = 53
(2 0 0), 2θ 43.7, I = 66
(0 2 4), 2θ 44.4, I = 23
(2 3 3), 2θ 63.6, I = 24
(1 6 3), 2θ 79.4, I = 19

Atomic structure:
```
data_NdPd2Au5
_cell_length_a 4.142
_cell_length_b 8.265
_cell_length_c 9.393
_cell_angle_alpha 90.00
_cell_angle_beta 90.00
_cell_angle_gamma 90.00
_symmetry_space_group_name_H-M 'I m m m'
_symmetry_Int_Tables_number 71
_symmetry_space_group_name_Hall '-I 2 2'
loop_
_atom_site_label
_atom_site_type_symbol
_atom_site_fract_x
_atom_site_fract_y
_atom_site_fract_z
_atom_site_occupancy
Nd1 Nd 0.000 0.000 0.000 1
Pd1 Pd 0.000 0.500 0.292 1
Au1 Au 0.000 0.179 0.345 1
Au2 Au 0.000 0.500 0.000 1
```

=====

[10]
Calculated XRD peak list
Compound: Nd2PdAu6
Radiation: copper Kα
Structure: a DFT-relaxed cell (GGA-PBE, Alexandria)
No peak broadening, texture or thermal motion is included.

Main lines, sorted by position (2θ from 10° to 80°):
(0 0 2), 2θ 30.5, I = 12
(1 1 1), 2θ 32.7, I = 19
(2 0 0), 2θ 33.4, I = 19
(1 0 2), 2θ 34.9, I = 28
(0 2 1), 2θ 36.9, I = 100
(2 0 2), 2θ 45.9, I = 24
(2 2 0), 2θ 59.7, I = 21
(4 0 1), 2θ 72.3, I = 12

Atomic structure:
```
data_Nd2PdAu6
_cell_length_a 6.1931
_cell_length_b 6.1931
_cell_length_c 5.8539
_cell_angle_alpha 90.00
_cell_angle_beta 90.00
_cell_angle_gamma 120.00
_symmetry_space_group_name_H-M 'P -3 m 1'
_symmetry_Int_Tables_number 164
_symmetry_space_group_name_Hall '-P 3 2"'
loop_
_atom_site_label
_atom_site_type_symbol
_atom_site_fract_x
_atom_site_fract_y
_atom_site_fract_z
_atom_site_occupancy
Nd1 Nd 0.3333 0.6667 0.3430 1
Pd1 Pd 0.0000 0.0000 0.5000 1
Au1 Au 0.1805 0.3611 0.8198 1
```

=====

[11]
Calculated XRD peak list
Compound: NdPd8Au2
Radiation: copper Kα
Structure: a DFT-relaxed cell (GGA-PBE, Alexandria)
No peak broadening, texture or thermal motion is included.

Main lines, sorted by position (2θ from 10° to 80°):
(2 0 -2), 2θ 36.4, I = 56
(1 5 -1), 2θ 36.5, I = 82
(3 1 -1), 2θ 37.6, I = 93
(0 6 0), 2θ 38.1, I = 53
(2 2 -2), 2θ 38.6, I = 33
(2 4 0), 2θ 41.2, I = 47
(1 3 1), 2θ 41.8, I = 100
(3 3 -2), 2θ 44.5, I = 39

Atomic structure:
```
data_NdPd8Au2
_cell_length_a 7.448
_cell_length_b 14.188
_cell_length_c 4.934
_cell_angle_alpha 90.00
_cell_angle_beta 131.46
_cell_angle_gamma 90.00
_symmetry_space_group_name_H-M 'C 1 2/m 1'
_symmetry_Int_Tables_number 12
_symmetry_space_group_name_Hall '-C 2y'
loop_
_atom_site_label
_atom_site_type_symbol
_atom_site_fract_x
_atom_site_fract_y
_atom_site_fract_z
_atom_site_occupancy
Nd1 Nd 0.000 0.000 0.000 1
Pd1 Pd 0.000 0.196 0.000 1
Pd2 Pd 0.002 0.500 0.752 1
Pd3 Pd 0.240 0.139 0.739 1
Au1 Au 0.000 0.319 0.500 1
```

=====

[12]
Calculated XRD peak list
Compound: NdPd6Au3
Radiation: copper Kα
Structure: a DFT-relaxed cell (GGA-PBE, Alexandria)
No peak broadening, texture or thermal motion is included.

Main lines, sorted by position (2θ from 10° to 80°):
(1 2 1), 2θ 31.4, I = 54
(1 3 1), 2θ 36.8, I = 100
(3 0 1), 2θ 37.6, I = 57
(3 1 1), 2θ 38.6, I = 80
(2 4 0), 2θ 38.8, I = 42
(4 2 0), 2θ 41.2, I = 57
(0 0 2), 2θ 50.8, I = 39
(4 2 2), 2θ 67.4, I = 27

Atomic structure:
```
data_NdPd6Au3
_cell_length_a 9.619
_cell_length_b 10.616
_cell_length_c 3.597
_cell_angle_alpha 90.00
_cell_angle_beta 90.00
_cell_angle_gamma 90.00
_symmetry_space_group_name_H-M 'P n n m'
_symmetry_Int_Tables_number 58
_symmetry_space_group_name_Hall '-P 2 2n'
loop_
_atom_site_label
_atom_site_type_symbol
_atom_site_fract_x
_atom_site_fract_y
_atom_site_fract_z
_atom_site_occupancy
Nd1 Nd 0.000 0.000 0.000 1
Pd1 Pd 0.088 0.257 0.000 1
Pd2 Pd 0.207 0.418 0.500 1
Pd3 Pd 0.233 0.111 0.500 1
Au1 Au 0.000 0.500 0.000 1
Au2 Au 0.123 0.779 0.500 1
```